The following is a computed XRD peak list of Zn2CrPt. It was derived from DFT lattice parameters and positions (GGA-PBE), using CuKα.
Kinematic intensities with the Lorentz-polarization factor, no thermal factor.

Largest 10 diffraction maxima, sorted by position, 2θ from 10° to 90°:
- d 5.105, I = 29
- d 4.097, I = 22
- d 3.195, I = 19
- d 2.262, I = 83
- d 2.167, I = 100
- d 2.048, I = 28
- d 1.917, I = 17
- d 1.653, I = 14
- d 1.489, I = 21
- d 1.180, I = 17

Crystal structure
Cell: 2.814 4.097 5.294 Å, 90.00 105.36 90.00°
Sites, in units of the cell vectors:
Zn: 0.000 0.000 0.000
Zn: 0.132 0.500 0.271
Cr: 0.741 0.000 0.488
Pt: 0.390 0.500 0.782



The following is a computed XRD peak list of Ce3NdCo2. It was derived from DFT lattice parameters and positions (GGA-PBE), using CuKα.
Kinematic intensities with the Lorentz-polarization factor, no thermal factor.

Largest 10 diffraction maxima, sorted by position, 2θ from 10° to 90°:
- d 3.329, I = 42
- d 2.976, I = 77
- d 2.898, I = 74
- d 2.689, I = 100
- d 2.639, I = 94
- d 2.476, I = 45
- d 2.443, I = 68
- d 2.425, I = 96
- d 2.394, I = 64
- d 1.968, I = 99

Crystal structure
Cell: 8.264 8.264 9.584 Å, 115.71 115.71 27.55°
Sites, in units of the cell vectors:
Ce: 0.016 0.016 0.368
Ce: 0.337 0.337 0.120
Ce: 0.342 0.342 0.496
Ce: 0.658 0.658 0.504
Ce: 0.663 0.663 0.880
Ce: 0.984 0.984 0.632
Nd: 0.125 0.125 0.139
Nd: 0.875 0.875 0.861
Co: 0.184 0.184 0.704
Co: 0.483 0.483 0.132
Co: 0.517 0.517 0.868
Co: 0.816 0.816 0.296



The following is a computed XRD peak list of Ac2BiSe. It was derived from DFT lattice parameters and positions (GGA-PBE), using CuKα.
Kinematic intensities with the Lorentz-polarization factor, no thermal factor.

Largest 10 diffraction maxima, sorted by position, 2θ from 10° to 90°:
- d 3.324, I = 51
- d 3.305, I = 100
- d 2.343, I = 100
- d 2.334, I = 19
- d 1.912, I = 43
- d 1.653, I = 13
- d 1.485, I = 20
- d 1.480, I = 28
- d 1.354, I = 14
- d 1.352, I = 14

Crystal structure
Cell: 4.680 6.648 9.338 Å, 90.00 90.00 90.00°
Sites, in units of the cell vectors:
Ac: 0.250 0.250 0.113
Ac: 0.250 0.250 0.638
Ac: 0.750 0.750 0.362
Ac: 0.750 0.750 0.887
Bi: 0.250 0.750 0.626
Bi: 0.750 0.250 0.374
Se: 0.250 0.750 0.122
Se: 0.750 0.250 0.878



The following is a computed XRD peak list of NaCe4Sb5. It was derived from DFT lattice parameters and positions (GGA-PBE), using CuKα.
Kinematic intensities with the Lorentz-polarization factor, no thermal factor.

Largest 10 diffraction maxima, sorted by position, 2θ from 10° to 90°:
- d 3.200, I = 100
- d 3.163, I = 49
- d 2.266, I = 18
- d 2.260, I = 19
- d 2.250, I = 75
- d 1.842, I = 20
- d 1.839, I = 20
- d 1.428, I = 25
- d 1.418, I = 17
- d 1.303, I = 13

Crystal structure
Cell: 11.979 11.979 11.979 Å, 158.25 149.38 37.87°
Sites, in units of the cell vectors:
Na: 0.000 0.000 0.000
Ce: 0.201 0.201 0.000
Ce: 0.403 0.403 0.000
Ce: 0.597 0.597 0.000
Ce: 0.799 0.799 0.000
Sb: 0.107 0.607 0.500
Sb: 0.302 0.802 0.500
Sb: 0.500 0.000 0.500
Sb: 0.698 0.198 0.500
Sb: 0.893 0.393 0.500



The following is a computed XRD peak list of NdTe2Pd7. It was derived from DFT lattice parameters and positions (GGA-PBE), using CuKα.
Kinematic intensities with the Lorentz-polarization factor, no thermal factor.

Largest 10 diffraction maxima, sorted by position, 2θ from 10° to 90°:
- d 3.676, I = 23
- d 2.638, I = 9
- d 2.311, I = 100
- d 2.143, I = 47
- d 1.852, I = 7
- d 1.785, I = 8
- d 1.516, I = 18
- d 1.372, I = 13
- d 1.267, I = 28
- d 1.155, I = 8

Crystal structure
Cell: 11.131 11.131 11.131 Å, 157.79 157.79 31.61°
Sites, in units of the cell vectors:
Nd: 0.000 0.000 0.000
Te: 0.327 0.327 0.000
Te: 0.673 0.673 0.000
Pd: 0.096 0.596 0.500
Pd: 0.250 0.750 0.500
Pd: 0.404 0.904 0.500
Pd: 0.500 0.500 0.000
Pd: 0.596 0.096 0.500
Pd: 0.750 0.250 0.500
Pd: 0.904 0.404 0.500